1.
# AcTb3HoEr
Simulated XRD peak list, λ = 1.5418 Å (Cu Kα). Input: DFT lattice parameters and positions (GGA-PBE).
Lines closer than 0.1° are merged.

Crystal structure
abc: 11.808 11.808 7.010
angles: 97.99 97.99 26.35
Fractional positions:
Ac 0.127 0.127 0.483
Ac 0.873 0.873 0.517
Tb 0.021 0.021 0.784
Tb 0.275 0.275 0.691
Tb 0.320 0.320 0.216
Tb 0.680 0.680 0.784
Tb 0.725 0.725 0.309
Tb 0.979 0.979 0.216
Ho 0.425 0.425 0.889
Ho 0.575 0.575 0.111
Er 0.167 0.167 0.024
Er 0.833 0.833 0.976

Largest 12 diffraction maxima, in order of rising 2θ, 2θ = 5–70°:
2.980 Å, intensity 70
2.838 Å, intensity 100
2.786 Å, intensity 68
2.775 Å, intensity 32
2.692 Å, intensity 48
1.937 Å, intensity 18
1.932 Å, intensity 24
1.766 Å, intensity 14
1.581 Å, intensity 19
1.531 Å, intensity 15
1.477 Å, intensity 15
1.470 Å, intensity 15

2.
# NbV3C2
Simulated XRD peak list, λ = 1.5418 Å (Cu Kα). Input: DFT lattice parameters and positions (GGA-PBE).
Lines closer than 0.1° are merged.

Crystal structure
abc: 5.752 5.752 5.752
angles: 116.21 108.49 103.96
Fractional positions:
Nb 0.287 0.037 0.250
Nb 0.713 0.963 0.750
V 0.201 0.000 0.701
V 0.201 0.500 0.201
V 0.303 0.553 0.750
V 0.697 0.447 0.250
V 0.799 0.000 0.299
V 0.799 0.500 0.799
C 0.019 0.269 0.750
C 0.500 0.000 0.000
C 0.500 0.500 0.500
C 0.981 0.731 0.250

Largest 12 diffraction maxima, in order of rising 2θ, 2θ = 5–70°:
4.614 Å, intensity 23
3.361 Å, intensity 22
2.438 Å, intensity 81
2.307 Å, intensity 100
2.254 Å, intensity 95
2.228 Å, intensity 32
2.137 Å, intensity 22
1.797 Å, intensity 15
1.520 Å, intensity 20
1.434 Å, intensity 31
1.393 Å, intensity 16
1.358 Å, intensity 16